Record 1
Computed X-ray powder pattern of BPt3Au for Cu Kα, from a GGA-PBE-relaxed structure.
Lines closer than 0.1° are merged.

Principal peaks in the range 2θ = 15–90°, low angle first:
Position (°2θ)  I_rel
30.21  43
37.64  34
40.49  100
43.46  8
49.00  23
60.73  16
67.29  8
69.86  21
79.76  8
87.59  9

Structural model:
a = 4.7799 Å, b = 11.1303 Å, c = 5.9167 Å
α = 90.00°, β = 90.00°, γ = 90.00°
Space group Pnma (No. 62)
One atom of each set of equivalent atoms:
B 0.0969 0.2500 0.1694 x4
Pt 0.0010 0.2500 0.5030 x4
Pt 0.0020 0.6205 0.0633 x8
Au 0.0000 0.0000 0.5000 x4


Record 2
Computed X-ray powder pattern of BRuPtAu2 for Cu Kα, from a GGA-PBE-relaxed structure.
Lines closer than 0.1° are merged.

Principal peaks in the range 2θ = 15–90°, low angle first:
Position (°2θ)  I_rel
17.34  90
18.76  100
31.13  54
35.09  96
38.05  38
40.08  62
50.47  34
52.72  60
54.31  26
64.91  32

Structural model:
a = 5.1149 Å, b = 5.1149 Å, c = 4.7294 Å
α = 90.00°, β = 90.00°, γ = 90.00°
Space group P4/mmm (No. 123)
One atom of each set of equivalent atoms:
B 0.0000 0.0000 0.0000 x1
Ru 0.5000 0.5000 0.0000 x1
Pt 0.5000 0.5000 0.5000 x1
Au 0.0000 0.5000 0.5000 x2


Record 3
Computed X-ray powder pattern of Sm3B2Pt9Au for Cu Kα, from a GGA-PBE-relaxed structure.
Lines closer than 0.1° are merged.

Principal peaks in the range 2θ = 15–90°, low angle first:
Position (°2θ)  I_rel
27.92  27
33.29  22
36.38  18
37.24  97
37.53  21
40.77  100
60.93  16
64.71  30
69.93  24
77.28  16

Structural model:
a = 5.7620 Å, b = 5.7620 Å, c = 9.5866 Å
α = 90.00°, β = 90.00°, γ = 120.00°
Space group P-3m1 (No. 164)
One atom of each set of equivalent atoms:
Sm 0.0000 0.0000 0.0000 x1
Sm 0.3333 0.6667 0.6099 x2
B 0.3333 0.6667 0.1451 x2
Pt 0.0000 0.5000 0.0000 x3
Pt 0.1652 0.3304 0.2758 x6
Au 0.0000 0.0000 0.5000 x1


Record 4
Computed X-ray powder pattern of RbB3Au for Cu Kα, from a GGA-PBE-relaxed structure.
Lines closer than 0.1° are merged.

Principal peaks in the range 2θ = 15–90°, low angle first:
Position (°2θ)  I_rel
18.01  14
25.57  100
31.45  10
36.48  25
40.96  9
45.08  45
52.54  17
59.32  20
71.68  23
83.19  12

Structural model:
a = 4.9267 Å, b = 4.9267 Å, c = 4.9267 Å
α = 90.00°, β = 90.00°, γ = 90.00°
Space group Pm-3m (No. 221)
One atom of each set of equivalent atoms:
Rb 0.0000 0.0000 0.0000 x1
B 0.0000 0.0000 0.5000 x3
Au 0.5000 0.5000 0.5000 x1